No. 1
Tl4Sn6As: calculated powder X-ray diffraction pattern (Cu Kα), based on DFT lattice parameters and positions (PBE).
Intensities are scaled so that the largest is 100.

Peak list (6 most intense, 2θ from 10° to 90°, low angle first)
- 2θ = 26.61°, d 3.350, rel. 43
- 2θ = 28.77°, d 3.104, rel. 53
- 2θ = 30.08°, d 2.971, rel. 38
- 2θ = 31.69°, d 2.824, rel. 91
- 2θ = 34.08°, d 2.631, rel. 51
- 2θ = 34.23°, d 2.620, rel. 100

Crystal structure
a b c (Å): 10.4798 10.4798 7.2079
angles (deg): 90.00 90.00 119.73
Fractional positions:
Tl (0.1527, 0.8473, 0.5000)
Tl (0.1536, 0.3064, 0.4974)
Tl (0.3064, 0.1536, 0.9974)
Tl (0.3333, 0.6667, 0.7613)
Tl (0.6667, 0.3333, 0.2613)
Tl (0.6936, 0.8464, 0.4974)
Tl (0.8464, 0.6936, 0.9974)
Tl (0.8473, 0.1527, 0.0000)
Sn (0.0603, 0.5309, 0.2000)
Sn (0.1830, 0.3683, 0.9451)
Sn (0.1837, 0.8163, 0.9466)
Sn (0.3683, 0.1830, 0.4451)
Sn (0.4695, 0.5305, 0.1977)
Sn (0.4691, 0.9397, 0.2000)
Sn (0.5309, 0.0603, 0.7000)
Sn (0.5305, 0.4695, 0.6977)
Sn (0.6317, 0.8170, 0.9451)
Sn (0.8163, 0.1837, 0.4466)
Sn (0.8170, 0.6317, 0.4451)
Sn (0.9397, 0.4691, 0.7000)
As (0.3331, 0.6669, 0.3723)
As (0.6669, 0.3331, 0.8723)

***

No. 2
Zr9Tl2Cd: calculated powder X-ray diffraction pattern (Cu Kα), based on DFT lattice parameters and positions (PBE).
Intensities are scaled so that the largest is 100.

Peak list (6 most intense, 2θ from 10° to 90°, low angle first)
- 2θ = 19.82°, d 4.480, rel. 8
- 2θ = 34.69°, d 2.586, rel. 100
- 2θ = 40.27°, d 2.240, rel. 49
- 2θ = 58.26°, d 1.584, rel. 33
- 2θ = 69.61°, d 1.351, rel. 38
- 2θ = 73.19°, d 1.293, rel. 11

Crystal structure
a b c (Å): 4.4805 4.4805 13.4324
angles (deg): 90.00 90.00 90.00
Fractional positions:
Zr (0.0000, 0.0000, 0.0000)
Zr (0.0000, 0.0000, 0.3327)
Zr (0.0000, 0.0000, 0.6673)
Zr (0.0000, 0.5000, 0.1653)
Zr (0.0000, 0.5000, 0.5000)
Zr (0.0000, 0.5000, 0.8347)
Zr (0.5000, 0.0000, 0.1653)
Zr (0.5000, 0.0000, 0.5000)
Zr (0.5000, 0.0000, 0.8347)
Tl (0.5000, 0.5000, 0.3322)
Tl (0.5000, 0.5000, 0.6678)
Cd (0.5000, 0.5000, 0.0000)

***

No. 3
La7Nd4Sc: calculated powder X-ray diffraction pattern (Cu Kα), based on DFT lattice parameters and positions (PBE).
Intensities are scaled so that the largest is 100.

Peak list (6 most intense, 2θ from 10° to 90°, low angle first)
- 2θ = 29.70°, d 3.008, rel. 34
- 2θ = 29.81°, d 2.997, rel. 100
- 2θ = 34.37°, d 2.609, rel. 23
- 2θ = 34.55°, d 2.596, rel. 23
- 2θ = 34.66°, d 2.588, rel. 22
- 2θ = 49.52°, d 1.841, rel. 24

Crystal structure
a b c (Å): 6.3745 7.3159 9.7280
angles (deg): 100.61 96.10 106.77
Fractional positions:
La (0.0000, 0.0000, 0.0000)
La (0.0003, 0.1682, 0.6636)
La (0.0065, 0.5074, 0.9959)
La (0.4949, 0.7543, 0.4902)
La (0.4958, 0.4188, 0.1628)
La (0.5005, 0.0842, 0.8362)
La (0.9947, 0.8368, 0.3236)
Nd (0.4951, 0.2472, 0.4928)
Nd (0.4989, 0.5898, 0.8324)
Nd (0.9846, 0.3294, 0.3272)
Nd (0.9926, 0.6685, 0.6585)
Sc (0.4999, 0.9193, 0.1635)

***

No. 4
As3Br5: calculated powder X-ray diffraction pattern (Cu Kα), based on DFT lattice parameters and positions (PBE).
Intensities are scaled so that the largest is 100.

Peak list (6 most intense, 2θ from 10° to 90°, low angle first)
- 2θ = 23.12°, d 3.847, rel. 19
- 2θ = 28.04°, d 3.182, rel. 28
- 2θ = 33.57°, d 2.669, rel. 15
- 2θ = 34.20°, d 2.622, rel. 100
- 2θ = 39.47°, d 2.283, rel. 15
- 2θ = 49.15°, d 1.854, rel. 18

Crystal structure
a b c (Å): 7.8318 7.8318 3.7066
angles (deg): 90.00 90.00 108.68
Fractional positions:
As (0.0000, 0.0000, 0.0000)
As (0.3230, 0.6770, 0.5000)
As (0.6770, 0.3230, 0.5000)
Br (0.0000, 0.5000, 0.0000)
Br (0.1976, 0.1976, 0.5000)
Br (0.5000, 0.0000, 0.0000)
Br (0.5000, 0.5000, 0.0000)
Br (0.8024, 0.8024, 0.5000)